Zr4Pt2N: theoretical powder X-ray diffraction pattern (Cu Kα (λ = 1.5418 Å)), based on a cell relaxed with PBE.

Top 10 peaks for 15 to 90 degrees two-theta, in order of falling intensity:
two_theta  d [Å]  I (rel.)
37.12  2.422  100
40.55  2.225  29
62.64  1.483  26
34.93  2.569  20
24.50  3.633  20
75.11  1.265  17
68.31  1.373  12
43.13  2.097  12
28.37  3.146  12
56.14  1.638  11

Cell and atoms:
```
Zr4Pt2N
1.0
0.000 6.292 6.292
6.292 0.000 6.292
6.292 6.292 0.000
Zr Pt N
16 8 4
Cartesian
0.000 0.000 0.000
3.146 3.146 0.000
3.146 0.000 3.146
4.719 4.719 2.425
4.719 2.425 4.719
7.014 4.719 4.719
7.865 7.865 5.571
7.865 5.571 7.865
10.160 7.865 7.865
0.000 3.146 3.146
2.425 4.719 4.719
4.719 7.014 4.719
4.719 4.719 7.014
5.571 7.865 7.865
7.865 10.160 7.865
7.865 7.865 10.160
9.834 5.897 5.897
2.750 2.750 2.750
6.688 6.688 2.750
6.688 2.750 6.688
5.897 9.834 5.897
5.897 5.897 9.834
9.834 9.834 9.834
2.750 6.688 6.688
6.292 3.146 3.146
3.146 6.292 3.146
3.146 3.146 6.292
6.292 6.292 6.292
```